Structure and theoretical powder diffraction line list of ScH3Pd6 (a structure optimized by DFT (PBE); Cu Ka).

Peak list (10 most intense, 10° ≤ 2θ ≤ 80°, sorted by position)
- hkl 1 0 0, 20.40 deg, I = 48
- hkl 1 1 -2, 36.28 deg, I = 51
- hkl 0 0 2, 36.44 deg, I = 20
- hkl 2 -2 0, 38.84 deg, I = 76
- hkl -1 1 2, 41.13 deg, I = 100
- hkl 2 0 -2, 41.22 deg, I = 47
- hkl 2 0 0, 41.49 deg, I = 93
- hkl 1 -1 2, 41.81 deg, I = 49
- hkl 4 -2 0, 72.36 deg, I = 17
- hkl 3 -1 2, 79.47 deg, I = 18

Atomic structure:
```
data_ScH3Pd6
_symmetry_space_group_name_H-M 'P 1'
_symmetry_Int_Tables_number 1
_cell_length_a 5.4472
_cell_length_b 5.4555
_cell_length_c 5.6975
_cell_angle_alpha 104.48
_cell_angle_beta 106.02
_cell_angle_gamma 116.62
loop_
_symmetry_equiv_pos_as_xyz
'x,y,z'
loop_
_atom_site_label
_atom_site_type_symbol
_atom_site_fract_x
_atom_site_fract_y
_atom_site_fract_z
_atom_site_occupancy
Sc1 Sc 0.0000 0.0000 0.0000 1
H1 H 0.3191 0.6712 0.9889 1
H2 H 0.4643 0.1870 0.6480 1
H3 H 0.7610 0.5780 0.3436 1
Pd1 Pd 0.0025 0.9846 0.4866 1
Pd2 Pd 0.4214 0.9014 0.8139 1
Pd3 Pd 0.4229 0.9051 0.3260 1
Pd4 Pd 0.4963 0.4822 0.4867 1
Pd5 Pd 0.5149 0.4766 0.9930 1
Pd6 Pd 0.9146 0.3956 0.8116 1
```